Record 1
The following is a simulated powder diffractogram of KAuBr3. It was derived from DFT lattice parameters and positions (GGA-PBE), using Cu Kα (λ = 1.5418 Å).

Crystal structure
abc: 5.413 5.413 5.413
angles: 90.00 90.00 90.00
Space group Pm-3m (No. 221)
Asymmetric unit:
K (0.000, 0.000, 0.000) x1
Au (0.500, 0.500, 0.500) x1
Br (0.000, 0.500, 0.500) x3

Principal peaks in the range 15° ≤ 2θ ≤ 90°, most intense first:
(1 0 0), 2θ = 16.37°, I 100
(2 0 0), 2θ = 33.10°, I 77
(2 1 0), 2θ = 37.14°, I 55
(2 2 0), 2θ = 47.51°, I 55
(1 1 0), 2θ = 23.24°, I 39
(3 0 0), 2θ = 50.58°, I 29
(4 2 0), 2θ = 79.12°, I 25
(4 2 2), 2θ = 88.48°, I 19
(2 2 2), 2θ = 59.12°, I 19
(2 1 1), 2θ = 40.83°, I 18

Record 2
The following is a simulated powder diffractogram of LiHS. It was derived from DFT lattice parameters and positions (GGA-PBE), using Cu Kα (λ = 1.5418 Å).

Crystal structure
abc: 12.331 3.957 7.916
angles: 90.00 90.00 90.00
Space group Pcca (No. 54)
Asymmetric unit:
Li (0.125, 0.000, 0.003) x8
H (0.000, 0.355, 0.250) x4
H (0.250, 0.500, 0.324) x4
S (0.000, 0.013, 0.250) x4
S (0.250, 0.500, 0.494) x4

Principal peaks in the range 15° ≤ 2θ ≤ 90°, most intense first:
(2 1 0), 2θ = 26.77°, I 100
(4 1 2), 2θ = 43.68°, I 28
(2 2 2), 2θ = 53.89°, I 21
(0 1 2), 2θ = 31.98°, I 19
(4 0 0), 2θ = 28.96°, I 16
(6 1 0), 2θ = 50.01°, I 14
(0 2 0), 2θ = 45.86°, I 13
(6 1 4), 2θ = 70.18°, I 9
(4 1 6), 2θ = 83.34°, I 8
(4 0 4), 2θ = 55.15°, I 7

Record 3
The following is a simulated powder diffractogram of SrICl. It was derived from DFT lattice parameters and positions (GGA-PBE), using Cu Kα (λ = 1.5418 Å).

Crystal structure
abc: 8.448 4.539 10.342
angles: 90.00 90.00 90.00
Space group Pnma (No. 62)
Asymmetric unit:
Sr (0.186, 0.250, 0.130) x4
I (0.002, 0.250, 0.676) x4
Cl (0.153, 0.750, 0.950) x4

Principal peaks in the range 15° ≤ 2θ ≤ 90°, most intense first:
(1 1 2), 2θ = 28.21°, I 100
(2 1 1), 2θ = 30.17°, I 100
(3 0 1), 2θ = 32.96°, I 32
(1 0 3), 2θ = 27.95°, I 28
(0 2 0), 2θ = 39.72°, I 28
(3 0 3), 2θ = 41.40°, I 22
(1 0 2), 2θ = 20.13°, I 21
(0 1 3), 2θ = 32.62°, I 18
(1 1 4), 2θ = 41.60°, I 18
(1 1 3), 2θ = 34.35°, I 17

Record 4
The following is a simulated powder diffractogram of TeMoWSeS2. It was derived from DFT lattice parameters and positions (GGA-PBE), using Cu Kα (λ = 1.5418 Å).

Crystal structure
abc: 3.3083 3.3083 38.3117
angles: 90.00 90.00 120.00
Space group P3m1 (No. 156)
Asymmetric unit:
Te (0.0000, 0.0000, 0.0000) x1
Te (0.0000, 0.0000, 0.1005) x1
Mo (0.0000, 0.0000, 0.8577) x1
Mo (0.3333, 0.6667, 0.6718) x1
W (0.0000, 0.0000, 0.4839) x1
W (0.3333, 0.6667, 0.0502) x1
Se (0.3333, 0.6667, 0.8138) x1
Se (0.3333, 0.6667, 0.9015) x1
S (0.0000, 0.0000, 0.6319) x1
S (0.0000, 0.0000, 0.7117) x1
S (0.3333, 0.6667, 0.4439) x1
S (0.3333, 0.6667, 0.5240) x1

Principal peaks in the range 15° ≤ 2θ ≤ 90°, most intense first:
(1 0 8), 2θ = 36.55°, I 100
(0 1 13), 2θ = 44.08°, I 58
(1 0 0), 2θ = 31.23°, I 47
(1 1 0), 2θ = 55.56°, I 33
(0 1 6), 2θ = 34.31°, I 21
(1 0 5), 2θ = 33.39°, I 20
(1 0 10), 2θ = 39.27°, I 17
(0 2 8), 2θ = 68.35°, I 16
(1 1 21), 2θ = 77.97°, I 16
(0 1 2), 2θ = 31.57°, I 15

Record 5
The following is a simulated powder diffractogram of Ho2CdOs. It was derived from DFT lattice parameters and positions (GGA-PBE), using Cu Kα (λ = 1.5418 Å).

Crystal structure
abc: 7.072 7.072 7.072
angles: 90.00 90.00 90.00
Space group Fm-3m (No. 225)
Asymmetric unit:
Ho (0.250, 0.250, 0.250) x8
Cd (0.000, 0.000, 0.000) x4
Os (0.000, 0.000, 0.500) x4

Principal peaks in the range 15° ≤ 2θ ≤ 90°, most intense first:
(2 2 0), 2θ = 35.92°, I 100
(4 2 2), 2θ = 64.56°, I 36
(4 0 0), 2θ = 51.71°, I 18
(6 2 0), 2θ = 87.18°, I 16
(4 4 0), 2θ = 76.15°, I 11
(1 1 1), 2θ = 21.77°, I 3
(3 1 1), 2θ = 42.39°, I 2
(3 3 1), 2θ = 56.74°, I 1
(5 3 1), 2θ = 80.32°, I 1
(5 1 1), 2θ = 69.01°, I 1

Record 6
The following is a simulated powder diffractogram of Ba2ReN3. It was derived from DFT lattice parameters and positions (GGA-PBE), using Cu Kα (λ = 1.5418 Å).

Crystal structure
abc: 6.015 11.882 13.390
angles: 90.00 90.00 90.00
Space group Cmce (No. 64)
Asymmetric unit:
Ba (0.000, 0.066, 0.133) x8
Ba (0.000, 0.140, 0.583) x8
Re (0.000, 0.240, 0.336) x8
N (0.000, 0.090, 0.376) x8
N (0.000, 0.163, 0.947) x8
N (0.250, 0.237, 0.750) x8

Principal peaks in the range 15° ≤ 2θ ≤ 90°, most intense first:
(1 3 2), 2θ = 30.13°, I 100
(2 0 0), 2θ = 29.71°, I 53
(1 1 4), 2θ = 31.50°, I 40
(0 0 4), 2θ = 26.63°, I 28
(2 0 4), 2θ = 40.31°, I 22
(1 3 1), 2θ = 27.78°, I 21
(3 3 2), 2θ = 52.99°, I 21
(2 4 6), 2θ = 60.32°, I 13
(2 2 5), 2θ = 47.98°, I 12
(3 1 4), 2θ = 53.84°, I 12

Record 7
The following is a simulated powder diffractogram of C12SeF10. It was derived from DFT lattice parameters and positions (GGA-PBE), using Cu Kα (λ = 1.5418 Å).

Crystal structure
abc: 9.461 7.631 9.637
angles: 90.00 106.42 90.00
Space group P2_1 (No. 4)
Asymmetric unit:
C (0.007, 0.000, 0.209) x2
C (0.027, 0.158, 0.708) x2
C (0.072, 0.768, 0.386) x2
C (0.089, 0.940, 0.345) x2
C (0.095, 0.389, 0.883) x2
C (0.115, 0.216, 0.843) x2
C (0.378, 0.019, 0.844) x2
C (0.400, 0.848, 0.801) x2
C (0.434, 0.453, 0.330) x2
C (0.453, 0.155, 0.799) x2
C (0.455, 0.624, 0.288) x2
C (0.493, 0.815, 0.714) x2
Se (0.255, 0.063, 0.970) x2
F (0.026, 0.165, 0.168) x2
F (0.038, 0.991, 0.666) x2
F (0.153, 0.709, 0.516) x2
F (0.174, 0.452, 0.012) x2
F (0.187, 0.048, 0.433) x2
F (0.332, 0.711, 0.843) x2
F (0.343, 0.421, 0.412) x2
F (0.383, 0.758, 0.330) x2
F (0.439, 0.322, 0.840) x2
F (0.487, 0.150, 0.327) x2

Principal peaks in the range 15° ≤ 2θ ≤ 90°, most intense first:
(2 0 2), 2θ = 31.28°, I 100
(1 1 1), 2θ = 19.40°, I 96
(1 0 2), 2θ = 23.95°, I 93
(3 1 -2), 2θ = 32.64°, I 92
(1 1 0), 2θ = 15.17°, I 84
(1 1 -1), 2θ = 16.41°, I 73
(1 3 0), 2θ = 36.67°, I 71
(2 0 -2), 2θ = 23.28°, I 69
(3 0 -2), 2θ = 30.38°, I 62
(2 1 -1), 2θ = 22.49°, I 54

Record 8
The following is a simulated powder diffractogram of HfInPt2. It was derived from DFT lattice parameters and positions (GGA-PBE), using Cu Kα (λ = 1.5418 Å).

Crystal structure
abc: 3.370 3.370 6.601
angles: 90.00 90.00 90.00
Space group P4/mmm (No. 123)
Asymmetric unit:
Hf (0.000, 0.000, 0.000) x1
In (0.000, 0.000, 0.500) x1
Pt (0.500, 0.500, 0.225) x2

Principal peaks in the range 15° ≤ 2θ ≤ 90°, most intense first:
(1 0 2), 2θ = 38.16°, I 100
(1 1 0), 2θ = 37.75°, I 55
(2 1 2), 2θ = 68.43°, I 36
(2 0 0), 2θ = 54.45°, I 19
(1 1 4), 2θ = 69.25°, I 15
(2 0 4), 2θ = 81.66°, I 9
(0 0 4), 2θ = 55.70°, I 7
(1 0 3), 2θ = 49.47°, I 6
(2 2 0), 2θ = 80.63°, I 6
(2 1 3), 2θ = 76.63°, I 4